(1)
Starting from a DFT-relaxed cell (GGA+U, Alexandria), the X-ray powder pattern of Li4Nb3Cr3Ni2O16 was simulated for Cu Kα.
No peak broadening, texture or thermal motion is included.

Crystal structure
abc: 6.0446 6.0446 9.8486
angles: 90.18 90.18 60.60
Atoms (fractional coordinates):
Li1 0.0000 0.0000 0.0000
Li2 0.0142 0.0142 0.5138
Li3 0.3499 0.3499 0.4129
Li4 0.6848 0.6848 0.8783
Nb1 0.1918 0.1918 0.7260
Nb2 0.3565 0.8511 0.2229
Nb3 0.8511 0.3565 0.2229
Cr1 0.1906 0.6830 0.7241
Cr2 0.6830 0.1906 0.7241
Cr3 0.8490 0.8490 0.2244
Ni1 0.3608 0.3608 0.9852
Ni2 0.6935 0.6935 0.5246
O1 0.0184 0.0184 0.3272
O2 0.0208 0.0208 0.8215
O3 0.0553 0.5002 0.8461
O4 0.1747 0.1747 0.1113
O5 0.1757 0.7028 0.1163
O6 0.3423 0.8666 0.6122
O7 0.3527 0.3527 0.6128
O8 0.5002 0.0553 0.8461
O9 0.5022 0.5022 0.8423
O10 0.5299 0.5299 0.3337
O11 0.5297 0.9841 0.3391
O12 0.6826 0.6826 0.1111
O13 0.7028 0.1757 0.1163
O14 0.8627 0.8627 0.6144
O15 0.8666 0.3423 0.6122
O16 0.9841 0.5297 0.3391

Top 12 peaks for 10 to 90 degrees two-theta, by angle:
Position (°2θ)  I (rel.)
18.01  100.0
19.11  69.7
19.23  40.9
24.76  31.8
32.14  37.0
34.78  21.4
35.28  54.9
35.60  29.0
38.78  28.4
44.08  47.6
58.59  23.4
61.35  30.6

=====

(2)
Starting from a DFT-relaxed cell (GGA+U, Alexandria), the X-ray powder pattern of Li4Nb5Cr3O16 was simulated for Cu Kα.
No peak broadening, texture or thermal motion is included.

Crystal structure
abc: 6.2097 6.2097 10.0902
angles: 91.95 91.95 58.10
Atoms (fractional coordinates):
Li1 0.0000 0.0000 0.0000
Li2 0.0025 0.0025 0.4978
Li3 0.3297 0.3297 0.9244
Li4 0.6467 0.6467 0.4139
Nb1 0.1700 0.1700 0.2409
Nb2 0.3356 0.3356 0.5049
Nb3 0.3650 0.8189 0.7296
Nb4 0.6698 0.6698 0.0114
Nb5 0.8189 0.3650 0.7296
Cr1 0.1614 0.6555 0.2208
Cr2 0.6555 0.1614 0.2208
Cr3 0.8366 0.8366 0.7182
O1 0.0001 0.0001 0.3111
O2 0.0008 0.0008 0.8153
O3 0.0177 0.4545 0.3675
O4 0.1678 0.1678 0.6103
O5 0.1890 0.6644 0.6013
O6 0.3158 0.3158 0.1213
O7 0.3477 0.8496 0.1036
O8 0.4545 0.0177 0.3675
O9 0.4598 0.4598 0.3596
O10 0.5087 0.9570 0.8571
O11 0.5151 0.5151 0.8695
O12 0.6644 0.1890 0.6013
O13 0.6755 0.6755 0.6047
O14 0.8352 0.8352 0.0939
O15 0.8496 0.3477 0.1036
O16 0.9570 0.5087 0.8571

Top 12 peaks for 10 to 90 degrees two-theta, by angle:
Position (°2θ)  I (rel.)
17.59  58.4
18.27  48.9
18.85  100.0
19.15  45.0
31.85  49.0
33.41  31.3
34.46  32.3
34.64  44.4
35.03  35.1
35.36  33.0
58.10  33.7
59.62  39.9

=====

(3)
Starting from a DFT-relaxed cell (GGA+U, Alexandria), the X-ray powder pattern of Li2NbCr3O8 was simulated for Cu Kα.
No peak broadening, texture or thermal motion is included.

Crystal structure
abc: 5.9841 5.9841 9.6270
angles: 90.00 90.00 120.00
Atoms (fractional coordinates):
Li1 0.0000 0.0000 0.0000
Li2 0.0000 0.0000 0.5000
Li3 0.3333 0.6667 0.4091
Li4 0.6667 0.3333 0.9091
Nb1 0.3333 0.6667 0.0002
Nb2 0.6667 0.3333 0.5002
Cr1 0.1701 0.3401 0.7225
Cr2 0.1701 0.8299 0.7225
Cr3 0.3401 0.1701 0.2225
Cr4 0.6599 0.8299 0.7225
Cr5 0.8299 0.1701 0.2225
Cr6 0.8299 0.6599 0.2225
O1 0.0000 0.0000 0.3147
O2 0.0000 0.0000 0.8147
O3 0.0394 0.5197 0.8485
O4 0.1668 0.3336 0.1008
O5 0.1668 0.8332 0.1008
O6 0.3333 0.6667 0.6158
O7 0.3336 0.1668 0.6008
O8 0.4803 0.5197 0.8485
O9 0.4803 0.9606 0.8485
O10 0.5197 0.0394 0.3485
O11 0.5197 0.4803 0.3485
O12 0.6664 0.8332 0.1008
O13 0.6667 0.3333 0.1158
O14 0.8332 0.1668 0.6008
O15 0.8332 0.6664 0.6008
O16 0.9606 0.4803 0.3485

Top 12 peaks for 10 to 90 degrees two-theta, by angle:
Position (°2θ)  I (rel.)
18.43  15.4
19.45  100.0
25.25  30.5
32.83  38.4
35.32  51.0
35.89  33.2
39.50  21.7
44.96  33.7
51.85  13.9
54.92  21.3
59.85  31.7
62.04  28.6

=====

(4)
Starting from a DFT-relaxed cell (GGA+U, Alexandria), the X-ray powder pattern of Li2NbCr3O8 was simulated for Cu Kα.
No peak broadening, texture or thermal motion is included.

Crystal structure
abc: 8.5391 8.5391 8.5391
angles: 90.00 90.00 90.00
Atoms (fractional coordinates):
Li1 0.0052 0.4948 0.5052
Li2 0.2448 0.7448 0.7552
Li3 0.2552 0.2552 0.2552
Li4 0.4948 0.5052 0.0052
Li5 0.5052 0.0052 0.4948
Li6 0.7448 0.7552 0.2448
Li7 0.7552 0.2448 0.7448
Li8 0.9948 0.9948 0.9948
Nb1 0.1250 0.8750 0.3750
Nb2 0.3750 0.1250 0.8750
Nb3 0.6250 0.6250 0.6250
Nb4 0.8750 0.3750 0.1250
Cr1 0.1222 0.1278 0.6250
Cr2 0.1250 0.3778 0.8722
Cr3 0.1278 0.6250 0.1222
Cr4 0.3722 0.3750 0.6222
Cr5 0.3750 0.6222 0.3722
Cr6 0.3778 0.8722 0.1250
Cr7 0.6222 0.3722 0.3750
Cr8 0.6250 0.1222 0.1278
Cr9 0.6278 0.8750 0.8778
Cr10 0.8722 0.1250 0.3778
Cr11 0.8750 0.8778 0.6278
Cr12 0.8778 0.6278 0.8750
O1 0.1104 0.6104 0.8896
O2 0.1118 0.3858 0.1145
O3 0.1142 0.8855 0.6118
O4 0.1145 0.1118 0.3858
O5 0.1355 0.8642 0.1382
O6 0.1358 0.6382 0.3645
O7 0.1382 0.1355 0.8642
O8 0.1396 0.3604 0.6396
O9 0.3604 0.6396 0.1396
O10 0.3618 0.8645 0.3642
O11 0.3642 0.3618 0.8645
O12 0.3645 0.1358 0.6382
O13 0.3855 0.8882 0.8858
O14 0.3858 0.1145 0.1118
O15 0.3882 0.6142 0.6145
O16 0.3896 0.3896 0.3896
O17 0.6104 0.8896 0.1104
O18 0.6118 0.1142 0.8855
O19 0.6142 0.6145 0.3882
O20 0.6145 0.3882 0.6142
O21 0.6355 0.6358 0.8618
O22 0.6358 0.8618 0.6355
O23 0.6382 0.3645 0.1358
O24 0.6396 0.1396 0.3604
O25 0.8604 0.8604 0.8604
O26 0.8618 0.6355 0.6358
O27 0.8642 0.1382 0.1355
O28 0.8645 0.3642 0.3618
O29 0.8855 0.6118 0.1142
O30 0.8858 0.3855 0.8882
O31 0.8882 0.8858 0.3855
O32 0.8896 0.1104 0.6104

Top 12 peaks for 10 to 90 degrees two-theta, by angle:
Position (°2θ)  I (rel.)
17.99  100.0
34.85  49.0
36.45  14.1
42.34  54.7
46.35  11.8
55.95  20.4
61.42  33.2
64.57  14.6
73.58  7.7
77.44  8.7
80.29  7.6
87.81  8.0

=====

(5)
Starting from a DFT-relaxed cell (GGA+U, Alexandria), the X-ray powder pattern of Li4Nb2V3Cr3O16 was simulated for Cu Kα.
No peak broadening, texture or thermal motion is included.

Crystal structure
abc: 6.0181 6.0181 9.6854
angles: 90.47 90.47 59.70
Atoms (fractional coordinates):
Li1 0.0000 0.0000 0.0000
Li2 0.0035 0.0035 0.5005
Li3 0.3380 0.3380 0.5901
Li4 0.6708 0.6708 0.0925
Nb1 0.3349 0.3349 0.0005
Nb2 0.6735 0.6735 0.4987
V1 0.1741 0.1741 0.2779
V2 0.3440 0.8294 0.7765
V3 0.8294 0.3440 0.7765
Cr1 0.1743 0.6637 0.2770
Cr2 0.6637 0.1743 0.2770
Cr3 0.8321 0.8321 0.7779
O1 0.0012 0.0012 0.6877
O2 0.0041 0.0041 0.1849
O3 0.0421 0.4880 0.1505
O4 0.1672 0.6653 0.8996
O5 0.1687 0.1687 0.9025
O6 0.3371 0.3371 0.3840
O7 0.3381 0.8343 0.4003
O8 0.4837 0.4837 0.1524
O9 0.4880 0.0421 0.1505
O10 0.5229 0.5229 0.6474
O11 0.5254 0.9635 0.6491
O12 0.6653 0.1672 0.8996
O13 0.6696 0.6696 0.8843
O14 0.8343 0.3381 0.4003
O15 0.8378 0.8378 0.3973
O16 0.9635 0.5254 0.6491

Top 12 peaks for 10 to 90 degrees two-theta, by angle:
Position (°2θ)  I (rel.)
18.32  16.3
19.24  20.8
19.39  100.0
25.20  18.5
32.74  23.1
34.98  20.3
35.24  39.8
35.73  18.6
44.88  20.0
54.78  16.6
59.69  18.6
61.65  22.7

=====

(6)
Starting from a DFT-relaxed cell (GGA+U, Alexandria), the X-ray powder pattern of Li3NdCr4O12 was simulated for Cu Kα.
No peak broadening, texture or thermal motion is included.

Crystal structure
abc: 6.3644 6.3644 6.3644
angles: 109.47 109.47 109.47
Atoms (fractional coordinates):
Li1 0.0000 0.5000 0.5000
Li2 0.5000 0.0000 0.5000
Li3 0.5000 0.5000 0.0000
Nd1 0.0000 0.0000 0.0000
Cr1 0.0000 0.0000 0.5000
Cr2 0.0000 0.5000 0.0000
Cr3 0.5000 0.0000 0.0000
Cr4 0.5000 0.5000 0.5000
O1 0.1100 0.8150 0.2950
O2 0.1850 0.2950 0.4800
O3 0.1850 0.7050 0.8900
O4 0.2950 0.1100 0.8150
O5 0.2950 0.4800 0.1850
O6 0.4800 0.1850 0.2950
O7 0.5200 0.8150 0.7050
O8 0.7050 0.5200 0.8150
O9 0.7050 0.8900 0.1850
O10 0.8150 0.2950 0.1100
O11 0.8150 0.7050 0.5200
O12 0.8900 0.1850 0.7050

Top 12 peaks for 10 to 90 degrees two-theta, by angle:
Position (°2θ)  I (rel.)
17.06  100.0
29.78  39.4
34.52  88.2
38.75  39.2
46.22  46.1
49.62  32.0
52.85  13.2
61.85  46.9
64.67  17.3
72.80  13.9
80.58  13.7
83.13  14.6